[1]
For TbTm3Ru3, a structure optimized by DFT (PBE) gives the computed PXRD pattern in this record (Cu Ka).

Cell and atoms:
```
TbTm3Ru3
1.0
4.7301 2.7309 1.9206
-4.7301 2.7309 1.9206
0.0000 -5.4618 1.9206
Tb Tm Ru
1 3 3
Cartesian
0.0000 0.0000 0.0000
-1.9619 -1.1327 2.5830
1.9619 -1.1327 2.5830
0.0000 2.2654 2.5830
0.0000 -2.7276 1.4657
-2.3622 1.3638 1.4657
2.3622 1.3638 1.4657
```

Top 10 peaks for 2θ from 5° to 70°, in order of rising 2θ:
- 26.70 deg, d = 3.339 Å, rel. 259
- 32.82 deg, d = 2.729 Å, rel. 844
- 32.96 deg, d = 2.718 Å, rel. 280
- 38.05 deg, d = 2.365 Å, rel. 1000
- 38.19 deg, d = 2.356 Å, rel. 998
- 42.83 deg, d = 2.111 Å, rel. 239
- 55.01 deg, d = 1.669 Å, rel. 210
- 58.65 deg, d = 1.574 Å, rel. 270
- 65.49 deg, d = 1.425 Å, rel. 179
- 68.81 deg, d = 1.364 Å, rel. 254


[2]
For Tb3U2Ru6, a structure optimized by DFT (PBE) gives the computed PXRD pattern in this record (Cu Ka).

Cell and atoms:
```
Tb3U2Ru6
1.0
-4.7734 4.7734 4.7734
4.7734 -4.7734 4.7734
4.7734 4.7734 -4.7734
Tb U Ru
6 4 12
Cartesian
2.7436 0.0000 0.0000
6.8031 0.0000 0.0000
0.0000 2.7436 0.0000
0.0000 0.0000 2.7436
0.0000 6.8031 0.0000
0.0000 0.0000 6.8031
2.3867 2.3867 -2.3867
2.3867 -2.3867 2.3867
-2.3867 2.3867 2.3867
2.3867 2.3867 2.3867
4.7734 1.4661 -1.4661
4.7734 -1.4661 1.4661
4.7734 1.4661 1.4661
1.4661 4.7734 -1.4661
3.3073 3.3073 0.0000
1.4661 -1.4661 4.7734
3.3073 0.0000 3.3073
-1.4661 4.7734 1.4661
1.4661 4.7734 1.4661
-1.4661 1.4661 4.7734
1.4661 1.4661 4.7734
0.0000 3.3073 3.3073
```

Top 10 peaks for 2θ from 5° to 70°, in order of rising 2θ:
- 29.59 deg, d = 3.019 Å, rel. 157
- 32.49 deg, d = 2.756 Å, rel. 716
- 35.17 deg, d = 2.551 Å, rel. 260
- 37.69 deg, d = 2.387 Å, rel. 326
- 40.07 deg, d = 2.250 Å, rel. 1000
- 42.34 deg, d = 2.135 Å, rel. 441
- 46.61 deg, d = 1.949 Å, rel. 203
- 54.36 deg, d = 1.688 Å, rel. 148
- 64.78 deg, d = 1.439 Å, rel. 355
- 68.04 deg, d = 1.378 Å, rel. 159


[3]
For TbY4Ru2, a structure optimized by DFT (PBE) gives the computed PXRD pattern in this record (Cu Ka).

Cell and atoms:
```
TbY4Ru2
1.0
7.7879 0.0000 0.0000
0.0000 6.3709 0.0000
-3.0726 0.0000 7.3439
Tb Y Ru
2 8 4
Cartesian
-0.3029 1.5927 1.2120
5.0182 4.7782 6.1319
0.0889 3.1907 4.2998
0.0889 6.3656 4.2998
1.7617 4.7782 1.8196
2.8828 1.5927 0.1496
1.8326 4.7782 7.1943
2.9536 1.5927 5.5243
4.6264 0.0053 3.0441
4.6264 3.1802 3.0441
-2.1124 1.5927 5.4533
2.0584 1.5927 2.7430
2.6569 4.7782 4.6010
6.8278 4.7782 1.8906
```

Top 10 peaks for 2θ from 5° to 70°, in order of rising 2θ:
- 28.01 deg, d = 3.185 Å, rel. 564
- 30.65 deg, d = 2.917 Å, rel. 1000
- 31.22 deg, d = 2.865 Å, rel. 569
- 31.35 deg, d = 2.854 Å, rel. 347
- 31.67 deg, d = 2.825 Å, rel. 337
- 33.82 deg, d = 2.650 Å, rel. 493
- 34.44 deg, d = 2.604 Å, rel. 511
- 36.25 deg, d = 2.478 Å, rel. 561
- 37.74 deg, d = 2.383 Å, rel. 648
- 57.90 deg, d = 1.593 Å, rel. 387


[4]
For Tb4ZnRu3, a structure optimized by DFT (PBE) gives the computed PXRD pattern in this record (Cu Ka).

Cell and atoms:
```
Tb4ZnRu3
1.0
4.8648 0.0000 0.0000
0.0000 4.8648 0.0000
0.0000 0.0000 6.9665
Tb Zn Ru
4 1 3
Cartesian
0.0000 2.4324 1.6810
0.0000 2.4324 5.2855
2.4324 0.0000 1.6810
2.4324 0.0000 5.2855
0.0000 0.0000 3.4833
0.0000 0.0000 0.0000
2.4324 2.4324 0.0000
2.4324 2.4324 3.4833
```

Top 10 peaks for 2θ from 5° to 70°, in order of rising 2θ:
- 25.57 deg, d = 3.483 Å, rel. 37
- 25.90 deg, d = 3.440 Å, rel. 73
- 36.72 deg, d = 2.448 Å, rel. 1000
- 36.96 deg, d = 2.432 Å, rel. 495
- 45.48 deg, d = 1.994 Å, rel. 33
- 52.55 deg, d = 1.742 Å, rel. 87
- 53.26 deg, d = 1.720 Å, rel. 172
- 60.15 deg, d = 1.538 Å, rel. 16
- 65.97 deg, d = 1.416 Å, rel. 174
- 66.43 deg, d = 1.407 Å, rel. 348